Simulated X-ray powder pattern of ZnPd7Au3 for Cu Ka, from a crystal structure in Alexandria, relaxed with PBE.
Lines closer than 0.1° are merged.

Cell and atoms:
Lattice parameters (Å, degrees): 5.572 5.572 6.901 90.00 90.00 120.00
Sites, in units of the cell vectors:
Zn 0.000 0.000 0.000
Pd 0.333 0.667 0.319
Pd 0.334 0.167 0.317
Pd 0.501 0.002 0.988
Pd 0.501 0.499 0.988
Pd 0.833 0.167 0.317
Pd 0.833 0.666 0.317
Pd 0.998 0.499 0.988
Au 0.166 0.332 0.656
Au 0.166 0.834 0.656
Au 0.668 0.834 0.656

Principal peaks in the range 10 to 80 degrees two-theta, most intense first:
(2 0 1), 39.6 deg, I 100
(0 2 2), 45.9 deg, I 65
(0 0 3), 39.2 deg, I 34
(2 0 4), 66.6 deg, I 21
(2 2 0), 67.2 deg, I 20
(0 1 1), 22.5 deg, I 18
(1 0 0), 18.4 deg, I 10
(1 0 2), 31.9 deg, I 8